(1)
Starting from DFT lattice parameters and positions (GGA-PBE), the X-ray diffraction stick pattern of Mg2Si3 was simulated for Cu Kα.
Kinematic intensities with the Lorentz-polarization factor, no thermal factor.

Peak list (12 most intense, 2θ = 10–90°, by intensity)
2θ 43.0, 2.104 Å, I 1000
2θ 39.6, 2.275 Å, I 952
2θ 27.8, 3.210 Å, I 795
2θ 46.7, 1.945 Å, I 692
2θ 33.9, 2.644 Å, I 606
2θ 34.4, 2.604 Å, I 579
2θ 45.5, 1.994 Å, I 543
2θ 33.1, 2.703 Å, I 494
2θ 30.1, 2.965 Å, I 390
2θ 31.7, 2.823 Å, I 389
2θ 22.7, 3.920 Å, I 291
2θ 46.8, 1.940 Å, I 260

Structure:
```
Mg2Si3
1.0
5.859 -1.945 0.000
5.859 1.945 0.000
-3.529 0.000 8.452
Mg Si
4 6
Cartesian
-1.924 0.000 8.451
0.861 0.000 2.966
7.329 0.000 5.486
10.114 0.000 0.001
-0.866 0.000 5.050
3.545 0.000 1.990
2.336 0.000 7.217
5.854 0.000 1.235
4.645 0.000 6.462
9.055 0.000 3.402
```



(2)
Starting from DFT lattice parameters and positions (GGA-PBE), the X-ray diffraction stick pattern of Mg3Si4 was simulated for Cu Kα.
Kinematic intensities with the Lorentz-polarization factor, no thermal factor.

Peak list (12 most intense, 2θ = 10–90°, by intensity)
2θ 35.5, 2.526 Å, I 1000
2θ 36.6, 2.457 Å, I 764
2θ 39.8, 2.265 Å, I 681
2θ 37.0, 2.432 Å, I 660
2θ 33.3, 2.692 Å, I 498
2θ 40.9, 2.209 Å, I 480
2θ 44.2, 2.050 Å, I 443
2θ 34.3, 2.613 Å, I 367
2θ 32.6, 2.749 Å, I 346
2θ 38.1, 2.359 Å, I 343
2θ 37.5, 2.400 Å, I 342
2θ 38.8, 2.321 Å, I 317

Structure:
```
Mg3Si4
1.0
6.585 0.000 0.000
2.196 6.801 0.000
0.000 2.762 11.483
Mg Si
12 16
Cartesian
0.000 0.000 0.000
1.734 6.997 7.113
1.326 2.235 5.221
3.071 6.743 10.107
4.383 7.262 2.771
3.119 4.187 7.342
3.046 2.971 10.379
4.445 2.219 0.990
5.815 4.525 3.724
6.383 6.921 10.544
6.326 4.436 6.916
7.608 7.192 3.707
1.363 4.218 1.510
1.156 4.808 9.358
1.734 5.058 5.161
1.702 2.128 0.343
1.218 2.302 8.325
3.077 4.784 3.021
3.893 6.206 5.404
4.307 5.083 0.838
3.597 2.562 3.645
4.568 6.484 7.794
5.951 8.411 7.479
5.112 4.710 9.503
6.467 6.084 1.357
4.985 2.463 5.564
7.611 8.942 9.062
6.801 2.232 2.351
```



(3)
Starting from DFT lattice parameters and positions (GGA-PBE), the X-ray diffraction stick pattern of Mg4Si7 was simulated for Cu Kα.
Kinematic intensities with the Lorentz-polarization factor, no thermal factor.

Peak list (12 most intense, 2θ = 10–90°, by intensity)
2θ 42.3, 2.138 Å, I 1000
2θ 33.7, 2.663 Å, I 390
2θ 38.4, 2.347 Å, I 363
2θ 37.1, 2.426 Å, I 315
2θ 33.4, 2.681 Å, I 303
2θ 36.6, 2.453 Å, I 294
2θ 39.3, 2.293 Å, I 277
2θ 40.5, 2.225 Å, I 260
2θ 43.5, 2.080 Å, I 257
2θ 41.0, 2.200 Å, I 254
2θ 34.0, 2.636 Å, I 230
2θ 42.5, 2.129 Å, I 223

Structure:
```
Mg4Si7
1.0
4.278 0.000 0.000
0.011 6.824 0.000
1.767 0.673 13.884
Mg Si
8 14
Cartesian
0.000 0.000 0.000
1.778 4.058 12.897
2.123 2.122 1.065
3.940 4.062 10.375
3.946 0.855 9.311
4.231 4.269 5.172
4.248 0.910 3.377
4.266 4.288 2.148
1.787 1.991 10.920
1.812 6.319 10.884
1.819 5.335 8.681
1.834 2.903 8.646
1.877 2.014 5.843
2.073 5.438 4.054
2.088 2.981 3.612
2.138 6.417 1.912
2.147 4.698 0.254
3.926 2.039 12.278
3.953 6.422 12.014
3.959 5.571 7.516
3.971 2.832 7.414
3.988 0.753 6.174
```



(4)
Starting from DFT lattice parameters and positions (GGA-PBE), the X-ray diffraction stick pattern of Mg4Si3 was simulated for Cu Kα.
Kinematic intensities with the Lorentz-polarization factor, no thermal factor.

Peak list (12 most intense, 2θ = 10–90°, by intensity)
2θ 34.0, 2.640 Å, I 1000
2θ 36.4, 2.465 Å, I 898
2θ 41.6, 2.171 Å, I 712
2θ 44.4, 2.041 Å, I 302
2θ 45.0, 2.017 Å, I 190
2θ 48.2, 1.888 Å, I 169
2θ 37.9, 2.375 Å, I 156
2θ 64.4, 1.448 Å, I 156
2θ 33.2, 2.700 Å, I 145
2θ 71.5, 1.319 Å, I 144
2θ 62.0, 1.497 Å, I 139
2θ 73.9, 1.282 Å, I 131

Structure:
```
Mg4Si3
1.0
5.399 3.117 2.644
-5.399 3.117 2.644
0.000 -6.235 2.644
Mg Si
8 6
Cartesian
0.000 0.000 0.000
-2.930 0.867 2.689
0.714 -2.971 2.689
-2.216 -2.104 5.244
0.000 0.000 3.967
2.216 2.104 2.689
-0.714 2.971 5.244
2.930 -0.867 5.244
-1.552 -1.437 2.137
-0.469 2.063 2.137
2.021 -0.625 2.137
-2.021 0.625 5.796
0.469 -2.063 5.796
1.552 1.437 5.796
```